Ta3BPd: theoretical PXRD pattern (λ = 1.5418 Å (Cu Kα)), based on a crystal structure in Alexandria, relaxed with GGA-PBE.

Peak list (8 most intense, 2θ from 5° to 70°, most intense first)
- d = 2.499 Å, 2θ = 35.94°, I 100
- d = 2.164 Å, 2θ = 41.74°, I 52
- d = 1.530 Å, 2θ = 60.50°, I 35
- d = 4.328 Å, 2θ = 20.52°, I 5
- d = 3.060 Å, 2θ = 29.18°, I 2
- d = 1.936 Å, 2θ = 46.94°, I 2
- d = 1.767 Å, 2θ = 51.74°, I 1
- d = 1.443 Å, 2θ = 64.60°, I 1

Structure:
```
Ta3BPd
1.0
4.328 0.000 0.000
0.000 4.328 0.000
0.000 0.000 4.328
Ta B Pd
3 1 1
Cartesian
0.000 0.000 2.164
0.000 2.164 0.000
2.164 0.000 0.000
0.000 0.000 0.000
2.164 2.164 2.164
```

=====

Ta2BPd: theoretical PXRD pattern (λ = 1.5418 Å (Cu Kα)), based on a crystal structure in Alexandria, relaxed with GGA-PBE.

Peak list (8 most intense, 2θ from 5° to 70°, most intense first)
- d = 2.357 Å, 2θ = 38.18°, I 100
- d = 2.377 Å, 2θ = 37.86°, I 65
- d = 2.630 Å, 2θ = 34.09°, I 57
- d = 1.674 Å, 2θ = 54.85°, I 49
- d = 3.361 Å, 2θ = 26.52°, I 42
- d = 2.071 Å, 2θ = 43.70°, I 25
- d = 1.681 Å, 2θ = 54.61°, I 17
- d = 1.561 Å, 2θ = 59.17°, I 13

Structure:
```
Ta2BPd
1.0
-3.361 3.361 2.715
3.361 -3.361 2.715
3.361 3.361 -2.715
Ta B Pd
4 2 2
Cartesian
1.681 1.345 -0.679
2.016 -1.681 3.394
1.681 2.016 2.036
1.345 5.042 0.679
0.000 0.000 0.000
0.000 3.361 1.357
3.361 0.000 1.357
0.000 0.000 2.715
```

=====

Tl5B2Pd12: theoretical PXRD pattern (λ = 1.5418 Å (Cu Kα)), based on a crystal structure in Alexandria, relaxed with GGA-PBE.

Peak list (8 most intense, 2θ from 5° to 70°, most intense first)
- d = 2.379 Å, 2θ = 37.82°, I 100
- d = 2.341 Å, 2θ = 38.45°, I 78
- d = 2.333 Å, 2θ = 38.60°, I 52
- d = 2.281 Å, 2θ = 39.51°, I 50
- d = 3.198 Å, 2θ = 27.90°, I 41
- d = 2.574 Å, 2θ = 34.86°, I 38
- d = 2.354 Å, 2θ = 38.23°, I 33
- d = 2.263 Å, 2θ = 39.84°, I 32

Structure:
```
Tl5B2Pd12
1.0
7.260 -2.965 0.000
7.260 2.965 0.000
-1.456 0.000 7.964
Tl B Pd
5 2 12
Cartesian
0.000 0.000 0.000
2.931 0.000 2.053
3.822 0.000 6.426
9.242 0.000 1.539
10.133 0.000 5.911
6.532 1.404 3.982
6.532 -1.404 3.982
-0.669 0.000 5.391
4.834 1.570 0.731
4.416 1.482 4.001
8.230 1.570 7.233
8.648 1.482 3.963
6.498 0.000 2.423
6.566 0.000 5.541
4.416 -1.482 4.001
4.834 -1.570 0.731
8.648 -1.482 3.963
8.230 -1.570 7.233
13.733 0.000 2.573
```

=====

BPdW: theoretical PXRD pattern (λ = 1.5418 Å (Cu Kα)), based on a crystal structure in Alexandria, relaxed with GGA-PBE.

Peak list (8 most intense, 2θ from 5° to 70°, most intense first)
- d = 2.441 Å, 2θ = 36.83°, I 100
- d = 2.069 Å, 2θ = 43.75°, I 47
- d = 4.067 Å, 2θ = 21.86°, I 32
- d = 1.918 Å, 2θ = 47.39°, I 30
- d = 1.999 Å, 2θ = 45.37°, I 27
- d = 2.960 Å, 2θ = 30.20°, I 25
- d = 2.141 Å, 2θ = 42.21°, I 21
- d = 2.115 Å, 2θ = 42.76°, I 19

Structure:
```
BPdW
1.0
4.284 -1.512 0.000
4.284 1.512 0.000
-2.300 0.000 5.990
B Pd W
2 2 2
Cartesian
0.467 0.000 0.748
5.800 0.000 5.241
1.959 0.000 3.654
4.308 0.000 2.336
-0.421 0.000 4.962
6.688 0.000 1.027
```

=====

PmB3: theoretical PXRD pattern (λ = 1.5418 Å (Cu Kα)), based on a crystal structure in Alexandria, relaxed with GGA-PBE.

Peak list (8 most intense, 2θ from 5° to 70°, most intense first)
- d = 3.842 Å, 2θ = 23.15°, I 100
- d = 2.651 Å, 2θ = 33.81°, I 72
- d = 2.238 Å, 2θ = 40.30°, I 46
- d = 1.840 Å, 2θ = 49.55°, I 41
- d = 2.834 Å, 2θ = 31.57°, I 38
- d = 3.229 Å, 2θ = 27.63°, I 31
- d = 3.745 Å, 2θ = 23.76°, I 22
- d = 2.326 Å, 2θ = 38.72°, I 22

Structure:
```
PmB3
1.0
2.238 1.292 9.690
-2.238 1.292 9.690
0.000 -2.584 9.690
Pm B
3 9
Cartesian
0.000 0.000 0.000
0.000 0.000 3.420
0.000 0.000 25.649
-0.811 -0.468 7.886
0.811 -0.468 7.886
0.000 0.936 7.886
0.000 0.000 11.616
0.000 0.000 14.535
0.000 0.000 17.454
0.000 -0.936 21.183
-0.811 0.468 21.183
0.811 0.468 21.183
```

=====

PmPrB12: theoretical PXRD pattern (λ = 1.5418 Å (Cu Kα)), based on a crystal structure in Alexandria, relaxed with GGA-PBE.

Peak list (8 most intense, 2θ from 5° to 70°, most intense first)
- d = 2.925 Å, 2θ = 30.57°, I 100
- d = 4.136 Å, 2θ = 21.48°, I 65
- d = 1.850 Å, 2θ = 49.26°, I 50
- d = 2.388 Å, 2θ = 37.67°, I 42
- d = 1.379 Å, 2θ = 68.00°, I 28
- d = 1.689 Å, 2θ = 54.33°, I 27
- d = 2.068 Å, 2θ = 43.77°, I 21
- d = 1.462 Å, 2θ = 63.63°, I 10

Structure:
```
PmPrB12
1.0
0.000 4.136 4.136
4.136 0.000 4.136
4.136 4.136 0.000
Pm Pr B
1 1 12
Cartesian
0.000 0.000 0.000
4.136 4.136 4.136
2.068 2.068 0.826
2.068 0.826 2.068
3.310 2.068 2.068
0.826 2.068 2.068
2.068 3.310 2.068
2.068 2.068 3.310
6.204 6.204 4.962
6.204 4.962 6.204
7.446 6.204 6.204
4.962 6.204 6.204
6.204 7.446 6.204
6.204 6.204 7.446
```